NaOsRu2O8: computed powder diffraction line list (copper Kα), based on the PBE geometry in Alexandria.

Structure:
a b c (Å): 6.564 6.796 6.167
angles (deg): 90.00 90.00 90.00
Space group Cmmm (No. 65)
Unique sites:
Na: 0.000 0.000 0.000 x2
Os: 0.000 0.000 0.500 x2
Ru: 0.000 0.500 0.253 x4
O: 0.000 0.290 0.500 x4
O: 0.000 0.332 0.000 x4
O: 0.207 0.000 0.285 x8

Peak list (12 most intense, 2θ from 5° to 70°, by intensity)
h k l  2θ (°)  Rel. int.
1 1 2  34.75  100
0 2 0  26.23  71
2 0 0  27.17  62
1 1 1  23.74  54
0 0 1  14.36  48
1 3 2  51.99  47
3 1 2  53.06  39
2 2 0  38.12  27
3 3 2  66.73  25
0 2 1  30.03  15
0 4 0  53.97  11
2 0 1  30.87  11

NaOsS2O8: computed powder diffraction line list (copper Kα), based on the PBE geometry in Alexandria.

Structure:
a b c (Å): 4.7843 4.7843 7.9130
angles (deg): 90.00 90.00 120.00
Space group P-3 (No. 147)
Unique sites:
Na: 0.0000 0.0000 0.0000 x1
Os: 0.0000 0.0000 0.5000 x1
S: 0.3333 0.6667 0.7259 x2
O: 0.0472 0.3580 0.6627 x6
O: 0.3333 0.6667 0.9103 x2

Peak list (12 most intense, 2θ from 5° to 70°, by intensity)
h k l  2θ (°)  Rel. int.
0 0 1  11.18  100
0 1 1  24.25  98
0 1 2  31.26  78
1 0 0  21.45  43
1 1 0  37.60  29
0 2 2  49.68  22
1 0 3  40.54  22
2 -1 2  44.25  21
2 1 2  63.93  19
2 0 1  45.25  16
1 1 4  60.75  15
1 2 1  60.24  15

NaSrOsO4: computed powder diffraction line list (copper Kα), based on the PBE geometry in Alexandria.

Structure:
a b c (Å): 3.829 3.829 12.868
angles (deg): 90.00 90.00 90.00
Space group I4mm (No. 107)
Unique sites:
Na: 0.000 0.000 0.000 x2
Sr: 0.000 0.000 0.686 x2
Os: 0.000 0.000 0.349 x2
O: 0.000 0.000 0.186 x2
O: 0.000 0.000 0.502 x2
O: 0.000 0.500 0.345 x4

Peak list (12 most intense, 2θ from 5° to 70°, by intensity)
h k l  2θ (°)  Rel. int.
1 0 3  31.32  100
0 0 2  13.76  71
1 0 1  24.25  65
1 1 0  33.09  56
2 1 3  58.00  37
2 0 0  47.50  29
1 1 6  54.59  26
2 0 6  65.34  20
0 0 6  42.13  20
1 0 5  42.31  18
2 1 1  54.03  15
2 0 2  49.69  11

NaTbOs2O8: computed powder diffraction line list (copper Kα), based on the PBE geometry in Alexandria.

Structure:
a b c (Å): 5.267 5.267 11.493
angles (deg): 90.00 90.00 90.00
Space group I-4 (No. 82)
Unique sites:
Na: 0.000 0.000 0.000 x2
Tb: 0.000 0.500 0.750 x2
Os: 0.000 0.000 0.500 x2
Os: 0.000 0.500 0.250 x2
O: 0.151 0.245 0.587 x8
O: 0.169 0.750 0.173 x8

Peak list (12 most intense, 2θ from 5° to 70°, by intensity)
h k l  2θ (°)  Rel. int.
1 1 2  28.56  100
2 0 4  46.79  30
1 3 2  57.62  28
1 0 1  18.53  28
2 0 0  34.04  22
1 1 6  53.82  17
0 0 4  31.13  16
2 2 0  48.91  14
2 2 4  59.12  12
1 0 3  28.82  11
1 2 1  39.03  8
0 0 2  15.42  7